GaHBr: simulated powder diffraction line list (Cu Kα X-rays), based on a DFT-relaxed cell (PBE, Alexandria).
Intensities are scaled so that the largest is 100.

```
data_GaHBr
_chemical_formula_sum 'Ga2 H2 Br2'
_space_group_name_H-M_alt 'P -1'
_space_group_IT_number 2
_cell_length_a 3.582
_cell_length_b 5.925
_cell_length_c 5.933
_cell_angle_alpha 74.78
_cell_angle_beta 88.69
_cell_angle_gamma 88.68
loop_
_space_group_symop_operation_xyz
'x,y,z'
'-x,-y,-z'
loop_
_atom_site_label
_atom_site_fract_x
_atom_site_fract_y
_atom_site_fract_z
Ga1 0.000 0.235 0.266
H1 0.500 0.192 0.309
Br1 0.020 0.305 0.806
```

The 8 most intense peaks (2θ = 10–80°), most intense first:
hkl 1 0 0, 24.9 deg, I 100
hkl 0 2 0, 31.3 deg, I 88
hkl 1 -2 0, 40.7 deg, I 56
hkl 1 2 0, 40.0 deg, I 38
hkl 0 1 2, 31.1 deg, I 30
hkl 1 2 -2, 57.3 deg, I 20
hkl 1 1 2, 39.7 deg, I 16
hkl 2 -2 0, 61.6 deg, I 14